[1]
This entry pairs a crystal structure of Nb2OsRu7 with its calculated XRD peak list. Radiation: λ = 1.5418 Å (Cu Kα). Structure: a cell relaxed with GGA-PBE.
Kinematic intensities with the Lorentz-polarization factor, no thermal factor.

Principal peaks in the range 2θ from 10° to 80°, in order of falling intensity:
2theta	d_spacing	Rel. int.
41.17	2.192	100
44.85	2.021	61
10.98	8.059	58
35.04	2.561	57
32.42	2.762	51
47.95	1.897	37
49.18	1.852	35
12.89	6.865	34

Atomic structure:
```
Nb2OsRu7
1.0
3.794 -8.059 0.000
3.794 8.059 0.000
0.000 0.000 2.760
Nb Os Ru
2 1 7
Direct
0.192 0.808 0.000 Nb
0.808 0.192 0.000 Nb
0.500 0.500 0.500 Os
0.000 0.000 0.000 Ru
0.175 0.352 0.000 Ru
0.331 0.669 0.500 Ru
0.352 0.175 0.000 Ru
0.648 0.825 0.000 Ru
0.669 0.331 0.500 Ru
0.825 0.648 0.000 Ru
```

[2]
This entry pairs a crystal structure of NbOs2Ru5 with its calculated XRD peak list. Radiation: λ = 1.5418 Å (Cu Kα). Structure: a cell relaxed with GGA-PBE.
Kinematic intensities with the Lorentz-polarization factor, no thermal factor.

Principal peaks in the range 2θ from 10° to 80°, in order of falling intensity:
2theta	d_spacing	Rel. int.
43.08	2.100	100
43.29	2.090	44
41.13	2.195	36
37.61	2.391	23
76.29	1.248	18
68.21	1.375	16
37.86	2.376	15
56.95	1.617	14

Atomic structure:
```
NbOs2Ru5
1.0
0.000 4.390 4.753
2.767 0.000 4.753
2.767 4.390 0.000
Nb Os Ru
1 2 5
Direct
0.000 0.000 0.000 Nb
0.429 0.917 0.083 Os
0.917 0.429 0.571 Os
0.003 0.498 0.997 Ru
0.425 0.425 0.075 Ru
0.498 0.003 0.502 Ru
0.505 0.505 0.495 Ru
0.925 0.925 0.575 Ru
```

[3]
This entry pairs a crystal structure of Nb3OsRu2 with its calculated XRD peak list. Radiation: λ = 1.5418 Å (Cu Kα). Structure: a cell relaxed with GGA-PBE.
Kinematic intensities with the Lorentz-polarization factor, no thermal factor.

Principal peaks in the range 2θ from 10° to 80°, in order of falling intensity:
2theta	d_spacing	Rel. int.
39.38	2.288	100
41.66	2.168	43
74.51	1.273	30
69.84	1.347	18
60.39	1.533	14
53.30	1.719	10
30.42	2.939	3
29.13	3.066	3

Atomic structure:
```
Nb3OsRu2
1.0
3.066 0.000 0.000
0.000 3.066 0.000
0.000 0.000 10.312
Nb Os Ru
3 1 2
Direct
0.000 0.000 0.000 Nb
0.000 0.000 0.333 Nb
0.000 0.000 0.667 Nb
0.500 0.500 0.500 Os
0.500 0.500 0.169 Ru
0.500 0.500 0.831 Ru
```

[4]
This entry pairs a crystal structure of NbOsRuSeS with its calculated XRD peak list. Radiation: λ = 1.5418 Å (Cu Kα). Structure: a cell relaxed with GGA-PBE.
Kinematic intensities with the Lorentz-polarization factor, no thermal factor.

Principal peaks in the range 2θ from 10° to 80°, in order of falling intensity:
2theta	d_spacing	Rel. int.
36.74	2.446	100
15.45	5.734	71
46.14	1.967	53
41.21	2.190	30
35.11	2.556	16
44.60	2.032	16
53.30	1.719	14
72.19	1.309	14

Atomic structure:
```
NbOsRuSeS
1.0
-1.719 2.190 5.734
1.719 -2.190 5.734
1.719 2.190 -5.734
Nb Os Ru Se S
1 1 1 1 1
Direct
0.000 0.000 0.000 Nb
0.363 0.863 0.500 Os
0.824 0.324 0.500 Ru
0.540 0.540 0.000 Se
0.232 0.232 0.000 S
```

[5]
This entry pairs a crystal structure of NbOsRuSeS with its calculated XRD peak list. Radiation: λ = 1.5418 Å (Cu Kα). Structure: a cell relaxed with GGA-PBE.
Kinematic intensities with the Lorentz-polarization factor, no thermal factor.

Principal peaks in the range 2θ from 10° to 80°, in order of falling intensity:
2theta	d_spacing	Rel. int.
34.79	2.579	100
18.63	4.762	95
30.73	2.909	67
34.63	2.590	67
44.23	2.048	57
45.23	2.005	46
43.46	2.082	43
37.99	2.368	40

Atomic structure:
```
NbOsRuSeS
1.0
4.291 0.000 0.000
-0.971 4.207 0.000
-0.373 -1.423 4.762
Nb Os Ru Se S
1 1 1 1 1
Direct
0.000 0.000 0.000 Nb
0.794 0.351 0.678 Os
0.383 0.757 0.698 Ru
0.631 0.507 0.161 Se
0.218 0.135 0.517 S
```

[6]
This entry pairs a crystal structure of Ta2Nb4Os with its calculated XRD peak list. Radiation: λ = 1.5418 Å (Cu Kα). Structure: a cell relaxed with GGA-PBE.
Kinematic intensities with the Lorentz-polarization factor, no thermal factor.

Principal peaks in the range 2θ from 10° to 80°, in order of falling intensity:
2theta	d_spacing	Rel. int.
38.28	2.351	100
37.90	2.374	52
38.89	2.316	41
14.13	6.268	28
68.70	1.366	18
44.02	2.057	15
36.34	2.472	14
39.68	2.271	14

Atomic structure:
```
Ta2Nb4Os
1.0
2.783 0.000 0.000
-0.773 7.173 0.000
-1.046 -3.530 6.270
Ta Nb Os
2 4 1
Direct
0.243 0.220 0.141 Ta
0.757 0.780 0.859 Ta
0.099 0.357 0.574 Nb
0.470 0.073 0.718 Nb
0.530 0.927 0.282 Nb
0.901 0.643 0.426 Nb
0.500 0.500 0.000 Os
```

[7]
This entry pairs a crystal structure of Ta4NbOs3 with its calculated XRD peak list. Radiation: λ = 1.5418 Å (Cu Kα). Structure: a cell relaxed with GGA-PBE.
Kinematic intensities with the Lorentz-polarization factor, no thermal factor.

Principal peaks in the range 2θ from 10° to 80°, in order of falling intensity:
2theta	d_spacing	Rel. int.
39.60	2.276	100
39.85	2.262	49
72.19	1.309	34
71.68	1.317	18
57.63	1.599	17
56.87	1.619	9
19.62	4.524	1
45.74	1.983	1

Atomic structure:
```
Ta4NbOs3
1.0
3.238 0.000 0.000
0.000 4.524 0.000
0.000 0.000 9.047
Ta Nb Os
4 1 3
Direct
0.000 0.000 0.000 Ta
0.000 0.000 0.500 Ta
0.000 0.500 0.250 Ta
0.000 0.500 0.750 Ta
0.500 0.500 0.000 Nb
0.500 0.000 0.257 Os
0.500 0.000 0.743 Os
0.500 0.500 0.500 Os
```

[8]
This entry pairs a crystal structure of TaNb2Os3 with its calculated XRD peak list. Radiation: λ = 1.5418 Å (Cu Kα). Structure: a cell relaxed with GGA-PBE.
Kinematic intensities with the Lorentz-polarization factor, no thermal factor.

Principal peaks in the range 2θ from 10° to 80°, in order of falling intensity:
2theta	d_spacing	Rel. int.
40.28	2.239	100
39.56	2.278	27
38.87	2.317	26
56.67	1.624	19
72.26	1.308	18
71.34	1.322	17
74.15	1.279	8
73.70	1.285	8

Atomic structure:
```
TaNb2Os3
1.0
2.278 -6.950 0.000
2.278 6.950 0.000
0.000 0.000 6.180
Ta Nb Os
2 4 6
Direct
0.162 0.838 0.000 Ta
0.838 0.162 0.000 Ta
0.161 0.839 0.500 Nb
0.500 0.500 0.000 Nb
0.500 0.500 0.500 Nb
0.839 0.161 0.500 Nb
0.000 0.000 0.249 Os
0.000 0.000 0.751 Os
0.324 0.676 0.247 Os
0.324 0.676 0.753 Os
0.676 0.324 0.247 Os
0.676 0.324 0.753 Os
```

[9]
This entry pairs a crystal structure of Nb4Tc3Os with its calculated XRD peak list. Radiation: λ = 1.5418 Å (Cu Kα). Structure: a cell relaxed with GGA-PBE.
Kinematic intensities with the Lorentz-polarization factor, no thermal factor.

Principal peaks in the range 2θ from 10° to 80°, in order of falling intensity:
2theta	d_spacing	Rel. int.
39.94	2.257	100
72.51	1.304	22
57.72	1.597	11
72.61	1.302	11
57.87	1.594	6
27.95	3.192	2
19.65	4.518	2
35.87	2.504	2

Atomic structure:
```
Nb4Tc3Os
1.0
3.187 0.000 0.000
0.000 4.520 0.000
0.000 0.000 9.031
Nb Tc Os
4 3 1
Direct
0.000 0.000 0.000 Nb
0.000 0.000 0.500 Nb
0.000 0.500 0.247 Nb
0.000 0.500 0.753 Nb
0.500 0.000 0.252 Tc
0.500 0.000 0.748 Tc
0.500 0.500 0.000 Tc
0.500 0.500 0.500 Os
```

[10]
This entry pairs a crystal structure of NbTe4Os with its calculated XRD peak list. Radiation: λ = 1.5418 Å (Cu Kα). Structure: a cell relaxed with GGA-PBE.
Kinematic intensities with the Lorentz-polarization factor, no thermal factor.

Principal peaks in the range 2θ from 10° to 80°, in order of falling intensity:
2theta	d_spacing	Rel. int.
13.05	6.785	100
30.51	2.930	96
33.98	2.638	83
43.45	2.083	38
47.92	1.898	34
29.22	3.057	33
39.56	2.278	33
50.25	1.816	25

Atomic structure:
```
NbTe4Os
1.0
3.797 0.000 0.000
0.000 12.550 0.000
0.000 0.000 13.569
Nb Te Os
4 16 4
Direct
0.000 0.052 0.000 Nb
0.000 0.283 0.483 Nb
0.500 0.717 0.983 Nb
0.500 0.948 0.500 Nb
0.000 0.074 0.390 Te
0.000 0.191 0.847 Te
0.000 0.338 0.085 Te
0.000 0.426 0.632 Te
0.000 0.572 0.392 Te
0.000 0.668 0.841 Te
0.000 0.842 0.098 Te
0.000 0.898 0.642 Te
0.500 0.102 0.142 Te
0.500 0.158 0.598 Te
0.500 0.332 0.341 Te
0.500 0.428 0.892 Te
0.500 0.574 0.132 Te
0.500 0.662 0.585 Te
0.500 0.809 0.347 Te
0.500 0.926 0.890 Te
0.000 0.536 0.997 Os
0.000 0.770 0.482 Os
0.500 0.230 0.982 Os
0.500 0.464 0.497 Os
```

[11]
This entry pairs a crystal structure of Th2NbOs with its calculated XRD peak list. Radiation: λ = 1.5418 Å (Cu Kα). Structure: a cell relaxed with GGA-PBE.
Kinematic intensities with the Lorentz-polarization factor, no thermal factor.

Principal peaks in the range 2θ from 10° to 80°, in order of falling intensity:
2theta	d_spacing	Rel. int.
35.19	2.550	100
43.21	2.094	96
32.65	2.743	93
33.87	2.647	52
57.30	1.608	48
68.25	1.374	42
73.99	1.281	39
37.91	2.373	38

Atomic structure:
```
Th2NbOs
1.0
1.608 0.928 10.587
-1.608 0.928 10.587
0.000 -1.857 10.587
Th Nb Os
2 1 1
Direct
0.093 0.093 0.093 Th
0.907 0.907 0.907 Th
0.000 0.000 0.000 Nb
0.500 0.500 0.500 Os
```

[12]
This entry pairs a crystal structure of Ti4Nb4Os with its calculated XRD peak list. Radiation: λ = 1.5418 Å (Cu Kα). Structure: a cell relaxed with GGA-PBE.
Kinematic intensities with the Lorentz-polarization factor, no thermal factor.

Principal peaks in the range 2θ from 10° to 80°, in order of falling intensity:
2theta	d_spacing	Rel. int.
39.19	2.299	100
38.77	2.323	26
22.74	3.911	24
40.29	2.239	23
70.46	1.336	18
57.15	1.612	16
72.50	1.304	15
22.12	4.018	12

Atomic structure:
```
Ti4Nb4Os
1.0
0.000 4.918 6.970
2.239 0.000 6.970
2.239 4.918 0.000
Ti Nb Os
4 4 1
Direct
0.153 0.847 0.153 Ti
0.174 0.174 0.826 Ti
0.826 0.826 0.174 Ti
0.847 0.153 0.847 Ti
0.171 0.507 0.493 Nb
0.493 0.829 0.171 Nb
0.507 0.171 0.829 Nb
0.829 0.493 0.507 Nb
0.500 0.500 0.500 Os
```